Structure and computed powder X-ray diffraction pattern of Mn2SnW (a PBE-relaxed structure; Cu Ka).
Lines closer than 0.1° are merged.

Most intense lines, 10 to 80 degrees two-theta, in order of falling intensity:
41.88°, I = 100; 76.49°, I = 34; 29.28°, I = 27; 60.72°, I = 16; 68.82°, I = 11; 51.92°, I = 8; 25.28°, I = 5; 49.55°, I = 2; 66.84°, I = 1

Atomic structure:
```
Mn2SnW
1.0
6.1012 0.0000 0.0000
0.0000 6.1012 0.0000
0.0000 0.0000 6.1012
Mn Sn W
8 4 4
Direct
0.2500 0.2500 0.2500
0.2500 0.2500 0.7500
0.2500 0.7500 0.2500
0.2500 0.7500 0.7500
0.7500 0.2500 0.2500
0.7500 0.2500 0.7500
0.7500 0.7500 0.2500
0.7500 0.7500 0.7500
0.0000 0.0000 0.0000
0.0000 0.5000 0.5000
0.5000 0.0000 0.5000
0.5000 0.5000 0.0000
0.0000 0.0000 0.5000
0.0000 0.5000 0.0000
0.5000 0.0000 0.0000
0.5000 0.5000 0.5000
```